(1)
Starting from a DFT-relaxed cell (PBE, Alexandria), the X-ray powder pattern of Th3Zn2Co3 was calculated for CuKα.
Kinematic intensities with the Lorentz-polarization factor, no thermal factor.

Cell and atoms:
a = 8.0513 Å, b = 8.0513 Å, c = 5.4852 Å
α = 90.00°, β = 90.00°, γ = 120.00°
Space group P6_3/mcm (No. 193)
One atom of each set of equivalent atoms:
Th (0.0000, 0.2775, 0.2500) (multiplicity 6)
Zn (0.3333, 0.6667, 0.0000) (multiplicity 4)
Co (0.0000, 0.3930, 0.7500) (multiplicity 6)

Principal peaks in the range 2θ = 5–70°, low angle first:
(1 1 0), 2θ = 22.1°, d = 4.026 Å, intensity 29.0; (1 1 1), 2θ = 27.5°, d = 3.245 Å, intensity 92.8; (0 0 2), 2θ = 32.7°, d = 2.743 Å, intensity 36.4; (2 1 1), 2θ = 37.9°, d = 2.375 Å, intensity 100.0; (3 0 0), 2θ = 38.7°, d = 2.324 Å, intensity 67.1; (1 1 2), 2θ = 39.8°, d = 2.267 Å, intensity 66.4; (3 2 1), 2θ = 60.3°, d = 1.536 Å, intensity 27.6; (2 1 3), 2θ = 61.8°, d = 1.502 Å, intensity 24.2

---

(2)
Starting from a DFT-relaxed cell (PBE, Alexandria), the X-ray powder pattern of Th2ZnCo2 was calculated for CuKα.
Kinematic intensities with the Lorentz-polarization factor, no thermal factor.

Cell and atoms:
a = 3.841 Å, b = 14.175 Å, c = 3.732 Å
α = 90.00°, β = 90.00°, γ = 90.00°
Space group Cmmm (No. 65)
One atom of each set of equivalent atoms:
Th (0.000, 0.140, 0.000) (multiplicity 4)
Zn (0.000, 0.500, 0.500) (multiplicity 2)
Co (0.000, 0.320, 0.500) (multiplicity 4)

Principal peaks in the range 2θ = 5–70°, low angle first:
(0 4 0), 2θ = 25.1°, d = 3.544 Å, intensity 43.4; (1 3 0), 2θ = 30.0°, d = 2.981 Å, intensity 47.8; (1 1 1), 2θ = 34.1°, d = 2.630 Å, intensity 100.0; (0 4 1), 2θ = 34.9°, d = 2.570 Å, intensity 59.9; (1 3 1), 2θ = 38.7°, d = 2.329 Å, intensity 81.7; (2 0 0), 2θ = 47.3°, d = 1.921 Å, intensity 24.6; (1 7 1), 2θ = 57.0°, d = 1.615 Å, intensity 35.9; (2 4 1), 2θ = 60.1°, d = 1.538 Å, intensity 25.6

---

(3)
Starting from a DFT-relaxed cell (PBE, Alexandria), the X-ray powder pattern of Th3Zn7Co4 was calculated for CuKα.
Kinematic intensities with the Lorentz-polarization factor, no thermal factor.

Cell and atoms:
a = 15.439 Å, b = 3.852 Å, c = 9.966 Å
α = 90.00°, β = 125.55°, γ = 90.00°
Space group C2/m (No. 12)
One atom of each set of equivalent atoms:
Th (0.000, 0.000, 0.000) (multiplicity 2)
Th (0.198, 0.500, 0.717) (multiplicity 4)
Zn (0.000, 0.000, 0.500) (multiplicity 2)
Zn (0.021, 0.500, 0.300) (multiplicity 4)
Zn (0.168, 0.000, 0.428) (multiplicity 4)
Zn (0.170, 0.500, 0.999) (multiplicity 4)
Co (0.107, 0.000, 0.799) (multiplicity 4)
Co (0.162, 0.500, 0.248) (multiplicity 4)

Principal peaks in the range 2θ = 5–70°, low angle first:
(1 1 -1), 2θ = 24.8°, d = 3.591 Å, intensity 36.8; (3 1 0), 2θ = 31.6°, d = 2.835 Å, intensity 49.2; (1 1 2), 2θ = 35.6°, d = 2.520 Å, intensity 63.4; (3 1 -3), 2θ = 35.8°, d = 2.511 Å, intensity 58.8; (4 0 -4), 2θ = 36.2°, d = 2.484 Å, intensity 34.2; (5 1 -2), 2θ = 37.4°, d = 2.408 Å, intensity 100.0; (3 1 1), 2θ = 37.5°, d = 2.398 Å, intensity 52.9; (0 2 0), 2θ = 47.2°, d = 1.926 Å, intensity 44.4

---

(4)
Starting from a DFT-relaxed cell (PBE, Alexandria), the X-ray powder pattern of Th4ZnCo2 was calculated for CuKα.
Kinematic intensities with the Lorentz-polarization factor, no thermal factor.

Cell and atoms:
a = 11.722 Å, b = 13.871 Å, c = 8.341 Å
α = 90.00°, β = 90.00°, γ = 90.00°
Space group Fdd2 (No. 43)
One atom of each set of equivalent atoms:
Th (0.056, 0.118, 0.000) (multiplicity 16)
Th (0.117, 0.187, 0.583) (multiplicity 16)
Zn (0.000, 0.000, 0.663) (multiplicity 8)
Co (0.057, 0.197, 0.287) (multiplicity 16)

Principal peaks in the range 2θ = 5–70°, low angle first:
(2 2 2), 2θ = 29.3°, d = 3.051 Å, intensity 93.8; (2 4 0), 2θ = 29.9°, d = 2.984 Å, intensity 44.6; (3 3 1), 2θ = 31.8°, d = 2.810 Å, intensity 100.0; (4 2 0), 2θ = 33.2°, d = 2.699 Å, intensity 51.3; (1 1 3), 2θ = 33.8°, d = 2.655 Å, intensity 75.2; (1 5 1), 2θ = 34.9°, d = 2.568 Å, intensity 55.1; (2 4 2), 2θ = 37.0°, d = 2.427 Å, intensity 35.3; (4 2 2), 2θ = 39.8°, d = 2.266 Å, intensity 25.1

---

(5)
Starting from a DFT-relaxed cell (PBE, Alexandria), the X-ray powder pattern of ThZn2Co9 was calculated for CuKα.
Kinematic intensities with the Lorentz-polarization factor, no thermal factor.

Cell and atoms:
a = 8.117 Å, b = 8.117 Å, c = 4.745 Å
α = 90.00°, β = 90.00°, γ = 90.00°
Space group P4/mbm (No. 127)
One atom of each set of equivalent atoms:
Th (0.000, 0.000, 0.000) (multiplicity 2)
Zn (0.117, 0.383, 0.000) (multiplicity 4)
Co (0.000, 0.500, 0.500) (multiplicity 2)
Co (0.069, 0.213, 0.500) (multiplicity 8)
Co (0.178, 0.678, 0.237) (multiplicity 8)

Principal peaks in the range 2θ = 5–70°, low angle first:
(2 0 1), 2θ = 28.9°, d = 3.084 Å, intensity 24.7; (3 1 0), 2θ = 35.0°, d = 2.567 Å, intensity 28.5; (2 2 1), 2θ = 36.6°, d = 2.456 Å, intensity 35.2; (3 1 1), 2θ = 39.9°, d = 2.258 Å, intensity 100.0; (2 0 2), 2θ = 44.2°, d = 2.048 Å, intensity 37.1; (2 1 2), 2θ = 45.7°, d = 1.986 Å, intensity 42.5; (4 1 0), 2θ = 46.1°, d = 1.969 Å, intensity 28.5; (4 2 0), 2θ = 50.3°, d = 1.816 Å, intensity 24.3

---

(6)
Starting from a DFT-relaxed cell (PBE, Alexandria), the X-ray powder pattern of ThZnCo was calculated for CuKα.
Kinematic intensities with the Lorentz-polarization factor, no thermal factor.

Cell and atoms:
a = 4.153 Å, b = 3.571 Å, c = 8.036 Å
α = 90.00°, β = 90.00°, γ = 90.00°
Space group Pmma (No. 51)
One atom of each set of equivalent atoms:
Th (0.250, 0.000, 0.194) (multiplicity 2)
Zn (0.250, 0.500, 0.585) (multiplicity 2)
Co (0.250, 0.500, 0.891) (multiplicity 2)

Principal peaks in the range 2θ = 5–70°, low angle first:
(0 0 1), 2θ = 11.0°, d = 8.036 Å, intensity 18.5; (1 0 1), 2θ = 24.1°, d = 3.690 Å, intensity 27.3; (0 1 2), 2θ = 33.6°, d = 2.669 Å, intensity 32.4; (1 1 1), 2θ = 35.0°, d = 2.566 Å, intensity 100.0; (1 0 3), 2θ = 40.1°, d = 2.251 Å, intensity 23.9; (2 0 0), 2θ = 43.6°, d = 2.077 Å, intensity 21.2; (2 0 3), 2θ = 56.1°, d = 1.640 Å, intensity 23.0; (1 1 4), 2θ = 57.1°, d = 1.613 Å, intensity 20.1

---

(7)
Starting from a DFT-relaxed cell (PBE, Alexandria), the X-ray powder pattern of ThZn5Co2 was calculated for CuKα.
Kinematic intensities with the Lorentz-polarization factor, no thermal factor.

Cell and atoms:
a = 3.769 Å, b = 7.551 Å, c = 8.955 Å
α = 90.00°, β = 90.00°, γ = 90.00°
Space group Immm (No. 71)
One atom of each set of equivalent atoms:
Th (0.000, 0.000, 0.000) (multiplicity 2)
Zn (0.000, 0.181, 0.342) (multiplicity 8)
Zn (0.000, 0.500, 0.000) (multiplicity 2)
Co (0.000, 0.500, 0.278) (multiplicity 4)

Principal peaks in the range 2θ = 5–70°, low angle first:
(1 1 2), 2θ = 33.3°, d = 2.694 Å, intensity 34.9; (1 2 1), 2θ = 35.1°, d = 2.556 Å, intensity 87.9; (0 3 1), 2θ = 37.1°, d = 2.423 Å, intensity 28.3; (1 0 3), 2θ = 38.5°, d = 2.340 Å, intensity 100.0; (0 2 4), 2θ = 47.2°, d = 1.925 Å, intensity 40.0; (1 3 2), 2θ = 48.0°, d = 1.896 Å, intensity 37.1; (2 0 0), 2θ = 48.3°, d = 1.885 Å, intensity 40.2; (2 2 4), 2θ = 69.8°, d = 1.347 Å, intensity 28.0

---

(8)
Starting from a DFT-relaxed cell (PBE, Alexandria), the X-ray powder pattern of Th2ZnCo4 was calculated for CuKα.
Kinematic intensities with the Lorentz-polarization factor, no thermal factor.

Cell and atoms:
a = 7.980 Å, b = 8.003 Å, c = 8.033 Å
α = 90.00°, β = 90.00°, γ = 90.00°
Space group Fmmm (No. 69)
One atom of each set of equivalent atoms:
Th (0.250, 0.250, 0.250) (multiplicity 8)
Zn (0.000, 0.000, 0.000) (multiplicity 4)
Co (0.000, 0.000, 0.296) (multiplicity 8)
Co (0.201, 0.000, 0.500) (multiplicity 8)

Principal peaks in the range 2θ = 5–70°, low angle first:
(0 0 2), 2θ = 22.1°, d = 4.015 Å, intensity 42.7; (2 0 0), 2θ = 22.3°, d = 3.990 Å, intensity 37.4; (0 2 2), 2θ = 31.6°, d = 2.834 Å, intensity 100.0; (2 2 0), 2θ = 31.7°, d = 2.825 Å, intensity 75.2; (2 2 2), 2θ = 39.0°, d = 2.311 Å, intensity 99.7; (0 0 4), 2θ = 45.1°, d = 2.008 Å, intensity 23.3; (0 4 0), 2θ = 45.3°, d = 2.001 Å, intensity 28.2; (4 2 2), 2θ = 56.4°, d = 1.632 Å, intensity 32.5

---

(9)
Starting from a DFT-relaxed cell (PBE, Alexandria), the X-ray powder pattern of ThZr2Co9 was calculated for CuKα.
Kinematic intensities with the Lorentz-polarization factor, no thermal factor.

Cell and atoms:
a = 4.9075 Å, b = 4.9075 Å, c = 24.0643 Å
α = 90.00°, β = 90.00°, γ = 120.00°
Space group R-3m (No. 166, hexagonal axes)
One atom of each set of equivalent atoms:
Th (0.0000, 0.0000, 0.0000) (multiplicity 3)
Zr (0.0000, 0.0000, 0.1404) (multiplicity 6)
Co (0.0000, 0.0000, 0.3355) (multiplicity 6)
Co (0.0000, 0.0000, 0.5000) (multiplicity 3)
Co (0.0053, 0.5027, 0.9149) (multiplicity 18)

Principal peaks in the range 2θ = 5–70°, low angle first:
(0 0 6), 2θ = 22.2°, d = 4.008 Å, intensity 12.3; (1 0 7), 2θ = 33.5°, d = 2.673 Å, intensity 36.5; (1 1 0), 2θ = 36.6°, d = 2.454 Å, intensity 69.0; (0 2 1), 2θ = 42.7°, d = 2.117 Å, intensity 31.6; (1 1 6), 2θ = 43.2°, d = 2.093 Å, intensity 100.0; (0 0 12), 2θ = 45.2°, d = 2.005 Å, intensity 17.3; (0 1 14), 2θ = 57.9°, d = 1.593 Å, intensity 11.9; (3 0 0), 2θ = 65.9°, d = 1.417 Å, intensity 19.2

---

(10)
Starting from a DFT-relaxed cell (PBE, Alexandria), the X-ray powder pattern of Ti5Co6 was calculated for CuKα.
Kinematic intensities with the Lorentz-polarization factor, no thermal factor.

Cell and atoms:
a = 3.993 Å, b = 6.197 Å, c = 12.045 Å
α = 90.00°, β = 90.00°, γ = 90.00°
Space group Immm (No. 71)
One atom of each set of equivalent atoms:
Ti (0.000, 0.000, 0.000) (multiplicity 2)
Ti (0.000, 0.000, 0.357) (multiplicity 4)
Ti (0.000, 0.500, 0.325) (multiplicity 4)
Co (0.000, 0.239, 0.170) (multiplicity 8)
Co (0.000, 0.272, 0.500) (multiplicity 4)

Principal peaks in the range 2θ = 5–70°, low angle first:
(0 1 1), 2θ = 16.1°, d = 5.511 Å, intensity 6.4; (1 0 3), 2θ = 31.6°, d = 2.831 Å, intensity 7.5; (0 1 5), 2θ = 40.2°, d = 2.245 Å, intensity 5.0; (1 2 3), 2θ = 43.3°, d = 2.090 Å, intensity 100.0; (0 0 6), 2θ = 45.2°, d = 2.007 Å, intensity 20.3; (2 0 0), 2θ = 45.4°, d = 1.997 Å, intensity 22.8; (0 4 0), 2θ = 59.7°, d = 1.549 Å, intensity 8.5; (2 0 6), 2θ = 66.0°, d = 1.416 Å, intensity 11.8

---

(11)
Starting from a DFT-relaxed cell (PBE, Alexandria), the X-ray powder pattern of Ti4Co3 was calculated for CuKα.
Kinematic intensities with the Lorentz-polarization factor, no thermal factor.

Cell and atoms:
a = 11.2724 Å, b = 11.2724 Å, c = 5.1694 Å
α = 90.00°, β = 90.00°, γ = 120.00°
Space group R-3 (No. 148, hexagonal axes)
One atom of each set of equivalent atoms:
Ti (0.0000, 0.0000, 0.0000) (multiplicity 3)
Ti (0.0000, 0.0000, 0.5000) (multiplicity 3)
Ti (0.0494, 0.8063, 0.1665) (multiplicity 18)
Co (0.0468, 0.8080, 0.6698) (multiplicity 18)

Principal peaks in the range 2θ = 5–70°, low angle first:
(1 1 0), 2θ = 15.7°, d = 5.636 Å, intensity 1.2; (3 -1 1), 2θ = 29.7°, d = 3.003 Å, intensity 4.0; (4 1 0), 2θ = 42.4°, d = 2.130 Å, intensity 100.0; (1 2 2), 2θ = 42.7°, d = 2.117 Å, intensity 98.2; (2 4 1), 2θ = 52.7°, d = 1.738 Å, intensity 0.9; (6 -2 2), 2θ = 61.8°, d = 1.502 Å, intensity 29.5; (7 0 1), 2θ = 69.9°, d = 1.346 Å, intensity 0.7

---

(12)
Starting from a DFT-relaxed cell (PBE, Alexandria), the X-ray powder pattern of Ti3Co5 was calculated for CuKα.
Kinematic intensities with the Lorentz-polarization factor, no thermal factor.

Cell and atoms:
a = 6.482 Å, b = 7.725 Å, c = 3.911 Å
α = 90.00°, β = 90.00°, γ = 90.00°
Space group Cmmm (No. 65)
One atom of each set of equivalent atoms:
Ti (0.000, 0.000, 0.000) (multiplicity 2)
Ti (0.000, 0.290, 0.500) (multiplicity 4)
Co (0.000, 0.500, 0.000) (multiplicity 2)
Co (0.217, 0.000, 0.500) (multiplicity 4)
Co (0.250, 0.250, 0.000) (multiplicity 4)

Principal peaks in the range 2θ = 5–70°, low angle first:
(1 3 0), 2θ = 37.6°, d = 2.393 Å, intensity 2.3; (2 2 1), 2θ = 43.2°, d = 2.096 Å, intensity 100.0; (3 1 0), 2θ = 43.5°, d = 2.081 Å, intensity 3.3; (1 3 1), 2θ = 44.4°, d = 2.041 Å, intensity 5.5; (0 0 2), 2θ = 46.4°, d = 1.955 Å, intensity 22.0; (0 4 0), 2θ = 47.1°, d = 1.931 Å, intensity 17.2; (4 0 0), 2θ = 56.8°, d = 1.621 Å, intensity 9.5; (0 4 2), 2θ = 68.3°, d = 1.374 Å, intensity 10.2